This entry pairs a crystal structure of La3Al11 with its simulated powder diffractogram. Radiation: Cu Kα X-rays. Structure: a structure optimized by DFT (GGA-PBE).
Kinematic intensities with the Lorentz-polarization factor, no thermal factor.

Main lines, in order of falling intensity (2θ from 10° to 80°):
33.73 deg, I 100; 21.83 deg, I 45; 22.10 deg, I 43; 33.34 deg, I 40; 28.59 deg, I 37; 33.51 deg, I 34; 17.52 deg, I 30; 40.58 deg, I 25

Cell and atoms:
a = 8.592 Å, b = 8.592 Å, c = 8.592 Å
α = 150.01°, β = 107.81°, γ = 80.09°
Positions (direct):
La 0.000 0.000 0.000
La 0.316 0.316 0.000
La 0.684 0.684 0.000
Al 0.033 0.665 0.368
Al 0.136 0.862 0.274
Al 0.286 0.500 0.786
Al 0.297 0.665 0.632
Al 0.412 0.138 0.274
Al 0.500 0.000 0.500
Al 0.588 0.862 0.726
Al 0.703 0.335 0.368
Al 0.714 0.500 0.214
Al 0.864 0.138 0.726
Al 0.967 0.335 0.632


This entry pairs a crystal structure of LaAl4 with its simulated powder diffractogram. Radiation: Cu Kα X-rays. Structure: a structure optimized by DFT (GGA-PBE).
Kinematic intensities with the Lorentz-polarization factor, no thermal factor.

Main lines, in order of falling intensity (2θ from 10° to 80°):
33.13 deg, I 100; 31.61 deg, I 81; 21.83 deg, I 66; 41.28 deg, I 42; 52.91 deg, I 37; 28.87 deg, I 35; 45.71 deg, I 34; 15.91 deg, I 28

Cell and atoms:
a = 8.878 Å, b = 8.878 Å, c = 8.878 Å
α = 151.47°, β = 84.75°, γ = 102.30°
Positions (direct):
La 0.000 0.000 0.000
La 0.346 0.013 0.333
La 0.681 0.013 0.667
Al 0.061 0.390 0.671
Al 0.096 0.257 0.839
Al 0.264 0.764 0.500
Al 0.282 0.621 0.661
Al 0.401 0.401 0.000
Al 0.418 0.257 0.161
Al 0.584 0.757 0.827
Al 0.631 0.631 0.000
Al 0.719 0.390 0.329
Al 0.761 0.261 0.500
Al 0.930 0.757 0.173
Al 0.959 0.621 0.339


This entry pairs a crystal structure of La16Al13 with its simulated powder diffractogram. Radiation: Cu Kα X-rays. Structure: a structure optimized by DFT (GGA-PBE).
Kinematic intensities with the Lorentz-polarization factor, no thermal factor.

Main lines, in order of falling intensity (2θ from 10° to 80°):
30.87 deg, I 100; 33.92 deg, I 43; 19.38 deg, I 19; 20.96 deg, I 15; 32.91 deg, I 14; 29.82 deg, I 14; 48.68 deg, I 13; 52.90 deg, I 12

Cell and atoms:
a = 9.153 Å, b = 9.153 Å, c = 11.232 Å
α = 90.00°, β = 90.00°, γ = 120.00°
Positions (direct):
La 0.000 0.261 0.000
La 0.000 0.614 0.163
La 0.000 0.614 0.837
La 0.000 0.771 0.500
La 0.229 0.229 0.500
La 0.261 0.000 0.000
La 0.333 0.667 0.337
La 0.333 0.667 0.663
La 0.386 0.386 0.163
La 0.386 0.386 0.837
La 0.614 0.000 0.163
La 0.614 0.000 0.837
La 0.667 0.333 0.337
La 0.667 0.333 0.663
La 0.739 0.739 0.000
La 0.771 0.000 0.500
Al 0.000 0.000 0.236
Al 0.000 0.000 0.764
Al 0.000 0.286 0.290
Al 0.000 0.286 0.710
Al 0.000 0.421 0.500
Al 0.286 0.000 0.290
Al 0.286 0.000 0.710
Al 0.333 0.667 0.000
Al 0.421 0.000 0.500
Al 0.579 0.579 0.500
Al 0.667 0.333 0.000
Al 0.714 0.714 0.290
Al 0.714 0.714 0.710


This entry pairs a crystal structure of La3Al with its simulated powder diffractogram. Radiation: Cu Kα X-rays. Structure: a structure optimized by DFT (GGA-PBE).
Kinematic intensities with the Lorentz-polarization factor, no thermal factor.

Main lines, in order of falling intensity (2θ from 10° to 80°):
32.84 deg, I 100; 61.31 deg, I 27; 21.54 deg, I 25; 28.37 deg, I 20; 58.57 deg, I 15; 50.23 deg, I 14; 43.90 deg, I 12; 37.83 deg, I 7

Cell and atoms:
a = 7.265 Å, b = 7.265 Å, c = 5.463 Å
α = 90.00°, β = 90.00°, γ = 120.00°
Positions (direct):
La 0.181 0.362 0.250
La 0.181 0.819 0.250
La 0.362 0.181 0.750
La 0.638 0.819 0.250
La 0.819 0.181 0.750
La 0.819 0.638 0.750
Al 0.333 0.667 0.750
Al 0.667 0.333 0.250


This entry pairs a crystal structure of LaAl with its simulated powder diffractogram. Radiation: Cu Kα X-rays. Structure: a structure optimized by DFT (GGA-PBE).
Kinematic intensities with the Lorentz-polarization factor, no thermal factor.

Main lines, in order of falling intensity (2θ from 10° to 80°):
34.37 deg, I 100; 27.70 deg, I 68; 33.65 deg, I 45; 30.99 deg, I 38; 21.35 deg, I 30; 55.90 deg, I 28; 30.56 deg, I 26; 57.32 deg, I 23

Cell and atoms:
a = 6.125 Å, b = 6.125 Å, c = 5.771 Å
α = 90.00°, β = 90.00°, γ = 78.66°
Positions (direct):
La 0.014 0.342 0.250
La 0.342 0.014 0.750
La 0.658 0.986 0.250
La 0.986 0.658 0.750
Al 0.196 0.804 0.250
Al 0.500 0.500 0.000
Al 0.500 0.500 0.500
Al 0.804 0.196 0.750


This entry pairs a crystal structure of LaAl4 with its simulated powder diffractogram. Radiation: Cu Kα X-rays. Structure: a structure optimized by DFT (GGA-PBE).
Kinematic intensities with the Lorentz-polarization factor, no thermal factor.

Main lines, in order of falling intensity (2θ from 10° to 80°):
33.17 deg, I 100; 31.50 deg, I 80; 21.88 deg, I 64; 41.46 deg, I 41; 52.98 deg, I 36; 45.40 deg, I 36; 28.99 deg, I 34; 15.77 deg, I 29

Cell and atoms:
a = 6.408 Å, b = 6.408 Å, c = 6.408 Å
α = 140.27°, β = 140.27°, γ = 57.45°
Positions (direct):
La 0.000 0.000 0.000
Al 0.250 0.750 0.500
Al 0.387 0.387 0.000
Al 0.613 0.613 0.000
Al 0.750 0.250 0.500


This entry pairs a crystal structure of LaLuAl4 with its simulated powder diffractogram. Radiation: Cu Kα X-rays. Structure: a structure optimized by DFT (GGA-PBE).
Kinematic intensities with the Lorentz-polarization factor, no thermal factor.

Main lines, in order of falling intensity (2θ from 10° to 80°):
37.41 deg, I 100; 31.75 deg, I 99; 19.28 deg, I 63; 56.56 deg, I 39; 60.33 deg, I 33; 66.33 deg, I 22; 49.86 deg, I 17; 75.41 deg, I 17

Cell and atoms:
a = 5.637 Å, b = 5.637 Å, c = 5.637 Å
α = 60.00°, β = 60.00°, γ = 60.00°
Positions (direct):
La 0.000 0.000 0.000
Lu 0.250 0.250 0.250
Al 0.125 0.625 0.625
Al 0.625 0.125 0.625
Al 0.625 0.625 0.125
Al 0.625 0.625 0.625


This entry pairs a crystal structure of LaMg14Al with its simulated powder diffractogram. Radiation: Cu Kα X-rays. Structure: a structure optimized by DFT (GGA-PBE).
Kinematic intensities with the Lorentz-polarization factor, no thermal factor.

Main lines, in order of falling intensity (2θ from 10° to 80°):
36.20 deg, I 100; 17.87 deg, I 31; 31.66 deg, I 27; 34.62 deg, I 25; 15.68 deg, I 23; 63.07 deg, I 20; 23.29 deg, I 19; 67.88 deg, I 19

Cell and atoms:
a = 6.527 Å, b = 6.527 Å, c = 10.365 Å
α = 90.00°, β = 90.00°, γ = 120.00°
Positions (direct):
La 0.000 0.000 0.000
Mg 0.010 0.505 0.000
Mg 0.168 0.335 0.259
Mg 0.168 0.335 0.741
Mg 0.168 0.832 0.259
Mg 0.168 0.832 0.741
Mg 0.495 0.505 0.000
Mg 0.495 0.990 0.000
Mg 0.501 0.002 0.500
Mg 0.501 0.499 0.500
Mg 0.665 0.832 0.259
Mg 0.665 0.832 0.741
Mg 0.667 0.333 0.243
Mg 0.667 0.333 0.757
Mg 0.998 0.499 0.500
Al 0.000 0.000 0.500


This entry pairs a crystal structure of LaMg6Al with its simulated powder diffractogram. Radiation: Cu Kα X-rays. Structure: a structure optimized by DFT (GGA-PBE).
Kinematic intensities with the Lorentz-polarization factor, no thermal factor.

Main lines, in order of falling intensity (2θ from 10° to 80°):
37.10 deg, I 100; 32.45 deg, I 88; 24.15 deg, I 75; 15.90 deg, I 73; 30.79 deg, I 72; 32.12 deg, I 58; 13.27 deg, I 55; 36.59 deg, I 45

Cell and atoms:
a = 4.911 Å, b = 7.343 Å, c = 7.343 Å
α = 49.37°, β = 90.00°, γ = 90.00°
Positions (direct):
La 0.000 0.000 0.000
Mg 0.000 0.496 0.982
Mg 0.000 0.982 0.496
Mg 0.500 0.126 0.627
Mg 0.500 0.167 0.167
Mg 0.500 0.591 0.591
Mg 0.500 0.627 0.126
Al 0.000 0.435 0.435


This entry pairs a crystal structure of LaMg6Al with its simulated powder diffractogram. Radiation: Cu Kα X-rays. Structure: a structure optimized by DFT (GGA-PBE).
Kinematic intensities with the Lorentz-polarization factor, no thermal factor.

Main lines, in order of falling intensity (2θ from 10° to 80°):
35.71 deg, I 100; 15.29 deg, I 58; 23.33 deg, I 50; 30.87 deg, I 33; 67.14 deg, I 23; 35.44 deg, I 22; 32.07 deg, I 21; 47.70 deg, I 19

Cell and atoms:
a = 5.065 Å, b = 6.685 Å, c = 6.685 Å
α = 60.13°, β = 90.00°, γ = 90.00°
Positions (direct):
La 0.000 0.000 0.000
Mg 0.000 0.005 0.486
Mg 0.000 0.486 0.005
Mg 0.000 0.490 0.490
Mg 0.500 0.168 0.642
Mg 0.500 0.642 0.168
Mg 0.500 0.659 0.659
Al 0.500 0.161 0.161


This entry pairs a crystal structure of LaMg8Al4 with its simulated powder diffractogram. Radiation: Cu Kα X-rays. Structure: a structure optimized by DFT (GGA-PBE).
Kinematic intensities with the Lorentz-polarization factor, no thermal factor.

Main lines, in order of falling intensity (2θ from 10° to 80°):
36.29 deg, I 100; 35.77 deg, I 69; 25.33 deg, I 66; 31.25 deg, I 58; 12.70 deg, I 48; 36.46 deg, I 47; 17.67 deg, I 44; 28.64 deg, I 29

Cell and atoms:
a = 7.555 Å, b = 7.555 Å, c = 7.555 Å
α = 98.57°, β = 98.57°, γ = 134.58°
Positions (direct):
La 0.000 0.000 0.000
Mg 0.000 0.348 0.348
Mg 0.000 0.652 0.652
Mg 0.284 0.500 0.784
Mg 0.348 0.000 0.348
Mg 0.500 0.284 0.784
Mg 0.500 0.716 0.216
Mg 0.652 0.000 0.652
Mg 0.716 0.500 0.216
Al 0.000 0.000 0.500
Al 0.000 0.500 0.000
Al 0.500 0.000 0.000
Al 0.500 0.500 0.500


This entry pairs a crystal structure of LaMg14Al with its simulated powder diffractogram. Radiation: Cu Kα X-rays. Structure: a structure optimized by DFT (GGA-PBE).
Kinematic intensities with the Lorentz-polarization factor, no thermal factor.

Main lines, in order of falling intensity (2θ from 10° to 80°):
36.46 deg, I 100; 35.85 deg, I 56; 34.71 deg, I 38; 18.00 deg, I 31; 31.93 deg, I 30; 67.61 deg, I 22; 15.81 deg, I 21; 23.41 deg, I 20

Cell and atoms:
a = 10.338 Å, b = 6.567 Å, c = 6.567 Å
α = 58.61°, β = 90.00°, γ = 90.00°
Positions (direct):
La 0.000 0.000 0.000
Mg 0.000 0.010 0.494
Mg 0.000 0.494 0.010
Mg 0.236 0.657 0.657
Mg 0.256 0.165 0.653
Mg 0.256 0.653 0.165
Mg 0.261 0.164 0.164
Mg 0.500 0.496 0.496
Mg 0.500 0.498 0.991
Mg 0.500 0.991 0.498
Mg 0.500 0.994 0.994
Mg 0.739 0.164 0.164
Mg 0.744 0.165 0.653
Mg 0.744 0.653 0.165
Mg 0.764 0.657 0.657
Al 0.000 0.481 0.481